Structure and theoretical X-ray diffraction stick pattern of SrVZnF6 (the GGA+U geometry in Alexandria; Cu Ka).
Intensities are scaled so that the largest is 100.

Top 10 peaks for 5 to 70 degrees two-theta, by angle:
- 16.98 deg, rel. 7, (0 0 1)
- 25.32 deg, rel. 100, (1 0 1)
- 32.58 deg, rel. 26, (1 1 0)
- 36.96 deg, rel. 16, (1 1 1)
- 41.71 deg, rel. 24, (2 0 1)
- 48.07 deg, rel. 49, (1 1 2)
- 53.90 deg, rel. 23, (2 1 1)
- 56.29 deg, rel. 9, (1 0 3)
- 58.13 deg, rel. 19, (3 0 0)
- 66.57 deg, rel. 7, (2 0 3)

Crystal structure
```
data_SrVZnF6
_chemical_formula_sum 'Sr1 V1 Zn1 F6'
_symmetry_space_group_name_H-M 'P 3 1 2'
_symmetry_Int_Tables_number 149
_cell_length_a 5.4968
_cell_length_b 5.4968
_cell_length_c 5.2204
_cell_angle_alpha 90.00
_cell_angle_beta 90.00
_cell_angle_gamma 120.00
loop_
_symmetry_equiv_pos_as_xyz
'x,y,z'
'-y,x-y,z'
'-x+y,-x,z'
'-y,-x,-z'
'-x+y,y,-z'
'x,x-y,-z'
loop_
_atom_site_label
_atom_site_type_symbol
_atom_site_fract_x
_atom_site_fract_y
_atom_site_fract_z
_atom_site_occupancy
Sr1 Sr 0.0000 0.0000 0.0000 1
V1 V 0.6667 0.3333 0.5000 1
Zn1 Zn 0.3333 0.6667 0.5000 1
F1 F 0.0066 0.3611 0.2839 1
```